Calculated X-ray diffraction stick pattern of Ni3Ir2 for Cu Kα X-rays, from DFT lattice parameters and positions (GGA-PBE).
Lines closer than 0.1° are merged.

Top 10 peaks for 2θ = 15–90°, by angle:
hkl  2theta  I (rel.)
0 0 12  34.59  13
0 1 2  39.55  17
0 1 5  41.82  100
0 0 15  43.63  27
1 0 7  44.29  16
1 0 10  49.21  60
1 1 0  70.86  21
0 1 20  73.45  16
2 0 5  85.80  12
1 1 15  87.03  22

Atomic structure:
```
data_Ni3Ir2
_chemical_formula_sum 'Ni9 Ir6'
_cell_length_a 2.6598
_cell_length_b 2.6598
_cell_length_c 31.1171
_cell_angle_alpha 90.00
_cell_angle_beta 90.00
_cell_angle_gamma 120.00
_space_group_name_H-M_alt 'R -3 m'
_space_group_IT_number 166
_space_group_name_Hall '-R 3 2"'
loop_
_atom_site_label
_atom_site_type_symbol
_atom_site_fract_x
_atom_site_fract_y
_atom_site_fract_z
_atom_site_occupancy
Ni1 Ni 0.0000 0.0000 0.0000 1
Ni2 Ni 0.0000 0.0000 0.3962 1
Ir1 Ir 0.0000 0.0000 0.2029 1
```